# 1
Ca2Mg6AlHg: simulated powder diffraction line list (copper Kα), based on the PBE geometry in Alexandria.

Structure:
```
data_Ca2Mg6AlHg
_chemical_formula_sum 'Ca4 Mg12 Al2 Hg2'
_space_group_name_H-M_alt 'P m m n'
_space_group_IT_number 59
_cell_length_a 8.1829
_cell_length_b 9.8307
_cell_length_c 6.8402
_cell_angle_alpha 90.00
_cell_angle_beta 90.00
_cell_angle_gamma 90.00
loop_
_space_group_symop_operation_xyz
'x,y,z'
'-x,-y,-z'
'-x+1/2,-y+1/2,z'
'x+1/2,y+1/2,-z'
'x+1/2,-y,-z'
'-x+1/2,y,z'
'-x,y+1/2,-z'
'x,-y+1/2,z'
loop_
_atom_site_label
_atom_site_fract_x
_atom_site_fract_y
_atom_site_fract_z
Ca1 0.2500 0.0012 0.2445
Mg1 0.0650 0.2500 0.9292
Mg2 0.0693 0.7500 0.5626
Mg3 0.2500 0.5007 0.7476
Al1 0.2500 0.7500 0.9437
Hg1 0.2500 0.2500 0.5482
```

Main lines, by intensity (2θ from 15° to 90°):
| 2theta | I (rel.) | hkl |
| --- | --- | --- |
| 19.17 | 1000 | 1 1 1 |
| 36.60 | 958 | 0 4 0 |
| 31.88 | 717 | 0 2 2 |
| 21.72 | 538 | 2 0 0 |
| 38.91 | 487 | 2 2 2 |
| 45.23 | 465 | 3 3 1 |
| 18.05 | 341 | 0 2 0 |
| 22.27 | 315 | 0 2 1 |
| 32.20 | 288 | 1 3 1 |
| 31.31 | 279 | 2 2 1 |

# 2
CaMg2AlHg5: simulated powder diffraction line list (copper Kα), based on the PBE geometry in Alexandria.

Structure:
```
data_CaMg2AlHg5
_chemical_formula_sum 'Ca2 Mg4 Al2 Hg10'
_space_group_name_H-M_alt 'I m m m'
_space_group_IT_number 71
_space_group_name_Hall '-I 2 2'
_cell_length_a 5.0090
_cell_length_b 6.4066
_cell_length_c 14.8388
_cell_angle_alpha 90.00
_cell_angle_beta 90.00
_cell_angle_gamma 90.00
loop_
_atom_site_label
_atom_site_fract_x
_atom_site_fract_y
_atom_site_fract_z
Ca1 0.0000 0.0000 0.0000
Mg1 0.0000 0.5000 0.1896
Al1 0.0000 0.0000 0.5000
Hg1 0.0000 0.2653 0.3517
Hg2 0.0000 0.5000 0.0000
```

Main lines, by intensity (2θ from 15° to 90°):
| 2theta | I (rel.) | hkl |
| --- | --- | --- |
| 25.31 | 1000 | 1 0 3 |
| 33.76 | 567 | 1 2 1 |
| 37.08 | 384 | 0 2 4 |
| 35.85 | 307 | 2 0 0 |
| 52.53 | 285 | 2 2 4 |
| 37.98 | 273 | 1 2 3 |
| 55.09 | 264 | 1 2 7 |
| 36.33 | 199 | 0 0 6 |
| 30.39 | 158 | 0 2 2 |
| 51.96 | 144 | 2 0 6 |